Structure and theoretical XRD peak list of MnNi4Pt (the GGA-PBE geometry in Alexandria; a wavelength of 1.5418 Å).

Peak list (10 most intense, 2θ from 10° to 90°, by angle)
hkl 0 2 0, 2θ = 16.3°, d 5.425, intensity 11.1
hkl 1 1 0, 2θ = 25.7°, d 3.472, intensity 14.0
hkl 1 1 1, 2θ = 35.6°, d 2.519, intensity 10.2
hkl 1 3 1, 2θ = 42.9°, d 2.106, intensity 100.0
hkl 2 0 0, 2θ = 49.8°, d 1.832, intensity 32.2
hkl 0 6 0, 2θ = 50.5°, d 1.808, intensity 15.1
hkl 2 0 2, 2θ = 73.1°, d 1.295, intensity 9.7
hkl 2 6 0, 2θ = 73.6°, d 1.287, intensity 18.6
hkl 3 3 1, 2θ = 88.7°, d 1.103, intensity 23.5
hkl 1 9 1, 2θ = 89.7°, d 1.093, intensity 11.0

Structure:
```
data_MnNi4Pt
_space_group_name_H-M_alt 'C m m m'
_space_group_IT_number 65
_space_group_name_Hall '-C 2 2'
_cell_length_a 3.6647
_cell_length_b 10.8510
_cell_length_c 3.6618
_cell_angle_alpha 90.00
_cell_angle_beta 90.00
_cell_angle_gamma 90.00
loop_
_atom_site_label
_atom_site_fract_x
_atom_site_fract_y
_atom_site_fract_z
Mn1 0.0000 0.0000 0.0000
Ni1 0.0000 0.1731 0.5000
Ni2 0.0000 0.3290 0.0000
Pt1 0.0000 0.5000 0.5000
```